No. 1
Calculated powder diffractogram
Compound: FeTe4Pb
Radiation: Cu Kα
Structure: DFT lattice parameters and positions (GGA-PBE)
Intensities are scaled so that the largest is 100.

Crystal structure
a = 6.355 Å, b = 6.355 Å, c = 6.355 Å
α = 60.00°, β = 60.00°, γ = 60.00°
Positions (direct):
Fe 0.000 0.000 0.000
Te 0.374 0.374 0.374
Te 0.374 0.374 0.877
Te 0.374 0.877 0.374
Te 0.877 0.374 0.374
Pb 0.750 0.750 0.750

Peak list (6 most intense, 10 to 80 degrees two-theta, sorted by position)
two_theta	I (rel.)
28.08	27
33.06	100
34.57	40
52.94	35
58.06	29
69.36	15

***

No. 2
Calculated powder diffractogram
Compound: NaInPbI4
Radiation: Cu Kα
Structure: DFT lattice parameters and positions (GGA-PBE)
Intensities are scaled so that the largest is 100.

Crystal structure
a = 9.841 Å, b = 9.841 Å, c = 9.841 Å
α = 122.27°, β = 120.64°, γ = 87.50°
Positions (direct):
Na 0.388 0.138 0.250
Na 0.612 0.862 0.750
In 0.000 0.000 0.500
In 0.000 0.500 0.000
Pb 0.000 0.500 0.500
Pb 0.500 0.500 0.000
I 0.232 0.728 0.505
I 0.250 0.264 0.514
I 0.250 0.736 0.986
I 0.277 0.272 0.005
I 0.723 0.728 0.995
I 0.750 0.264 0.014
I 0.750 0.736 0.486
I 0.768 0.272 0.495

Peak list (6 most intense, 10 to 80 degrees two-theta, sorted by position)
two_theta	I (rel.)
11.20	64
21.42	28
25.05	51
26.20	100
36.56	85
37.86	34

***

No. 3
Calculated powder diffractogram
Compound: KGe4Pt6
Radiation: Cu Kα
Structure: DFT lattice parameters and positions (GGA-PBE)
Intensities are scaled so that the largest is 100.

Crystal structure
a = 6.616 Å, b = 6.616 Å, c = 6.616 Å
α = 117.23°, β = 117.23°, γ = 94.88°
Positions (direct):
K 0.000 0.000 0.000
Ge 0.133 0.538 0.000
Ge 0.462 0.462 0.595
Ge 0.538 0.133 0.000
Ge 0.867 0.867 0.405
Pt 0.000 0.500 0.500
Pt 0.228 0.228 0.693
Pt 0.465 0.772 0.000
Pt 0.500 0.000 0.500
Pt 0.535 0.535 0.307
Pt 0.772 0.465 0.000

Peak list (6 most intense, 10 to 80 degrees two-theta, sorted by position)
two_theta	I (rel.)
16.23	100
27.05	53
32.77	76
40.54	49
41.43	65
42.20	81